The following is a calculated powder XRD pattern of GdSnSO. It was derived from a cell relaxed with GGA-PBE, using λ = 1.5418 Å (Cu Kα).
No peak broadening, texture or thermal motion is included.

Structure:
```
data_GdSnSO
_chemical_formula_sum 'Gd8 Sn8 S8 O8'
_cell_length_a 6.2373
_cell_length_b 17.0624
_cell_length_c 6.6039
_cell_angle_alpha 90.00
_cell_angle_beta 90.00
_cell_angle_gamma 90.00
_space_group_name_H-M_alt 'P b c a'
_space_group_IT_number 61
loop_
_space_group_symop_operation_xyz
'x,y,z'
'-x,-y,-z'
'-x+1/2,-y,z+1/2'
'x+1/2,y,-z+1/2'
'x+1/2,-y+1/2,-z'
'-x+1/2,y+1/2,z'
'-x,y+1/2,-z+1/2'
'x,-y+1/2,z+1/2'
loop_
_atom_site_label
_atom_site_fract_x
_atom_site_fract_y
_atom_site_fract_z
Gd1 0.1533 0.1978 0.0890
Sn1 0.1796 0.5243 0.6632
S1 0.0016 0.0915 0.3814
O1 0.1610 0.7458 0.8241
```

Principal peaks in the range 10 to 80 degrees two-theta, in order of rising 2θ:
hkl 0 4 0, 2θ 20.82, rel. 515
hkl 0 4 1, 2θ 24.85, rel. 540
hkl 1 4 1, 2θ 28.73, rel. 1000
hkl 1 0 2, 2θ 30.64, rel. 890
hkl 2 1 1, 2θ 32.17, rel. 434
hkl 1 5 1, 2θ 32.82, rel. 724
hkl 1 3 2, 2θ 34.55, rel. 353
hkl 1 4 2, 2θ 37.33, rel. 336
hkl 2 5 1, 2θ 41.54, rel. 366
hkl 3 5 1, 2θ 53.44, rel. 333